[1]
# Th3Ge2
Theoretical X-ray diffraction stick pattern, Cu Ka. Input: a structure optimized by DFT (PBE).
Intensities are scaled so that the largest is 100.

Atomic structure:
```
Th3Ge2
1.0
8.0177 0.0000 0.0000
0.0000 8.0177 0.0000
0.0000 0.0000 4.1398
Th Ge
6 4
Cartesian
0.0000 0.0000 0.0000
1.4185 2.5904 2.0699
2.5904 6.5993 2.0699
4.0089 4.0089 0.0000
5.4273 1.4185 2.0699
6.5993 5.4273 2.0699
0.9704 4.9792 0.0000
3.0385 0.9704 0.0000
4.9792 7.0474 0.0000
7.0474 3.0385 0.0000
```

Top 8 peaks for 5° ≤ 2θ ≤ 70°, in order of rising 2θ:
two_theta	I/Imax
24.83	26
26.66	26
31.05	83
31.56	24
33.05	100
35.40	56
53.29	26
57.47	29

[2]
# Th2Ge3
Theoretical X-ray diffraction stick pattern, Cu Ka. Input: a structure optimized by DFT (PBE).
Intensities are scaled so that the largest is 100.

Atomic structure:
```
Th2Ge3
1.0
4.2814 0.0000 0.0000
-2.1407 3.7078 0.0000
0.0000 0.0000 7.9327
Th Ge
2 3
Cartesian
0.0000 0.0000 1.8690
0.0000 0.0000 6.0637
0.0000 2.4718 3.9664
2.1407 1.2359 0.0000
2.1407 1.2359 3.9664
```

Top 8 peaks for 5° ≤ 2θ ≤ 70°, in order of rising 2θ:
two_theta	I/Imax
24.00	41
33.07	100
42.22	38
45.75	9
49.14	6
52.32	9
54.65	25
64.00	20

[3]
# ThGe2
Theoretical X-ray diffraction stick pattern, Cu Ka. Input: a structure optimized by DFT (PBE).
Intensities are scaled so that the largest is 100.

Atomic structure:
```
ThGe2
1.0
2.0355 -8.2987 0.0000
2.0355 8.2987 0.0000
0.0000 0.0000 4.2004
Th Ge
2 4
Cartesian
2.0355 5.9955 0.0000
2.0355 -5.9955 0.0000
0.0000 0.0000 2.1002
2.0355 3.3312 2.1002
2.0355 0.0000 0.0000
2.0355 -3.3312 2.1002
```

Top 8 peaks for 5° ≤ 2θ ≤ 70°, in order of rising 2θ:
two_theta	I/Imax
21.15	17
22.49	20
27.20	15
30.28	36
34.71	100
43.07	18
44.21	19
44.51	16